Diffraction record for K6Ta11O30. The PXRD pattern is computed, not measured: it uses DFT lattice parameters and positions (GGA-PBE) and Cu Kα (weighted mean of Kα1 and Kα2).
Peak positions follow from Bragg's law for the DFT cell and can differ from measured ones.

Cell and atoms:
```
data_K6Ta11O30
_chemical_formula_sum 'K12 Ta22 O60'
_symmetry_space_group_name_H-M 'A m m 2'
_symmetry_Int_Tables_number 38
_symmetry_space_group_name_Hall 'A 2 -2'
_cell_length_a 3.9601
_cell_length_b 18.1546
_cell_length_c 18.2799
_cell_angle_alpha 90.00
_cell_angle_beta 90.00
_cell_angle_gamma 90.00
loop_
_atom_site_label
_atom_site_fract_x
_atom_site_fract_y
_atom_site_fract_z
_atom_site_occupancy
K1 0.0000 0.0000 0.0000 1
K2 0.0000 0.0000 0.3323 1
K3 0.0000 0.1811 0.6557 1
K4 0.0000 0.2440 0.4162 1
Ta1 0.0000 0.0000 0.7788 1
Ta2 0.5000 0.0000 0.1563 1
Ta3 0.5000 0.0000 0.6485 1
Ta4 0.5000 0.1077 0.4753 1
Ta5 0.5000 0.1167 0.8510 1
Ta6 0.5000 0.1753 0.2679 1
Ta7 0.5000 0.1858 0.0609 1
O1 0.0000 0.0000 0.1617 1
O2 0.0000 0.0000 0.6681 1
O3 0.0000 0.0944 0.8376 1
O4 0.0000 0.1084 0.4786 1
O5 0.0000 0.1856 0.0525 1
O6 0.0000 0.1887 0.2719 1
O7 0.5000 0.0000 0.4526 1
O8 0.5000 0.0000 0.8710 1
O9 0.5000 0.0679 0.7453 1
O10 0.5000 0.0767 0.2400 1
O11 0.5000 0.0785 0.0836 1
O12 0.5000 0.0805 0.5871 1
O13 0.5000 0.1442 0.3754 1
O14 0.5000 0.1443 0.9485 1
O15 0.5000 0.2098 0.8087 1
O16 0.5000 0.2127 0.5180 1
O17 0.5000 0.2139 0.1633 1
```

Principal peaks in the range 2θ = 10–80°, in order of rising 2θ:
Position (°2θ)	I/Imax
15.38	66
21.84	53
22.45	73
27.33	28
28.55	82
31.50	100
33.73	34
33.85	26
45.83	36
54.89	27

Diffraction record for K9Ta10O30. The PXRD pattern is computed, not measured: it uses DFT lattice parameters and positions (GGA-PBE) and Cu Kα (weighted mean of Kα1 and Kα2).
Peak positions follow from Bragg's law for the DFT cell and can differ from measured ones.

Cell and atoms:
```
data_K9Ta10O30
_chemical_formula_sum 'K9 Ta10 O30'
_symmetry_space_group_name_H-M 'P -1'
_symmetry_Int_Tables_number 2
_symmetry_space_group_name_Hall '-P 1'
_cell_length_a 8.9976
_cell_length_b 8.9981
_cell_length_c 8.9982
_cell_angle_alpha 90.00
_cell_angle_beta 113.58
_cell_angle_gamma 101.54
loop_
_atom_site_label
_atom_site_fract_x
_atom_site_fract_y
_atom_site_fract_z
_atom_site_occupancy
K1 0.0000 0.0000 0.0000 1
K2 0.0000 0.1997 0.3995 1
K3 0.0005 0.4002 0.7998 1
K4 0.5000 0.1008 0.1999 1
K5 0.5001 0.3002 0.6007 1
Ta1 0.2491 0.9498 0.3997 1
Ta2 0.2512 0.7479 0.9990 1
Ta3 0.2522 0.3521 0.1985 1
Ta4 0.2518 0.5488 0.6031 1
Ta5 0.2533 0.1531 0.8029 1
O1 0.0002 0.1002 0.7001 1
O2 0.9999 0.3002 0.0999 1
O3 0.0000 0.5000 0.5000 1
O4 0.2480 0.2480 0.0000 1
O5 0.2480 0.3487 0.6976 1
O6 0.2480 0.5505 0.1008 1
O7 0.2481 0.6512 0.7984 1
O8 0.2501 0.0502 0.6001 1
O9 0.2501 0.1501 0.2999 1
O10 0.2502 0.4500 0.4001 1
O11 0.2501 0.7499 0.5002 1
O12 0.2502 0.8499 0.2000 1
O13 0.2503 0.9501 0.9001 1
O14 0.5000 0.0000 0.5000 1
O15 0.5001 0.1976 0.8992 1
O16 0.5000 0.3992 0.3024 1
```

Principal peaks in the range 2θ = 10–80°, in order of rising 2θ:
Position (°2θ)	I/Imax
22.09	77
31.44	100
38.76	9
45.06	32
50.73	34
55.98	40
65.62	19
70.16	16
74.58	17
78.90	5

Diffraction record for K2Ta4O11. The PXRD pattern is computed, not measured: it uses DFT lattice parameters and positions (GGA-PBE) and Cu Kα (weighted mean of Kα1 and Kα2).
Peak positions follow from Bragg's law for the DFT cell and can differ from measured ones.

Cell and atoms:
```
data_K2Ta4O11
_chemical_formula_sum 'K12 Ta24 O66'
_symmetry_space_group_name_H-M 'R -3 c'
_symmetry_Int_Tables_number 167
_symmetry_space_group_name_Hall '-R 3 2"c'
_cell_length_a 6.3450
_cell_length_b 6.3450
_cell_length_c 37.3724
_cell_angle_alpha 90.00
_cell_angle_beta 90.00
_cell_angle_gamma 120.00
loop_
_atom_site_label
_atom_site_fract_x
_atom_site_fract_y
_atom_site_fract_z
_atom_site_occupancy
K1 0.0000 0.0000 0.1741 1
Ta1 0.0000 0.0000 0.0000 1
Ta2 0.0000 0.3655 0.2500 1
O1 0.0000 0.0000 0.0936 1
O2 0.0000 0.2456 0.7500 1
O3 0.0369 0.2701 0.5317 1
```

Principal peaks in the range 2θ = 10–80°, in order of rising 2θ:
Position (°2θ)	I/Imax
14.22	46
16.82	44
28.66	53
29.04	100
31.65	95
35.61	36
46.34	25
49.78	36
52.69	26
58.46	38

Diffraction record for KTa2O6. The PXRD pattern is computed, not measured: it uses DFT lattice parameters and positions (GGA-PBE) and Cu Kα (weighted mean of Kα1 and Kα2).
Peak positions follow from Bragg's law for the DFT cell and can differ from measured ones.

Cell and atoms:
```
data_KTa2O6
_chemical_formula_sum 'K4 Ta8 O24'
_symmetry_space_group_name_H-M 'I m m a'
_symmetry_Int_Tables_number 74
_symmetry_space_group_name_Hall '-I 2b 2'
_cell_length_a 7.5686
_cell_length_b 7.5930
_cell_length_c 10.6193
_cell_angle_alpha 90.00
_cell_angle_beta 90.00
_cell_angle_gamma 90.00
loop_
_atom_site_label
_atom_site_fract_x
_atom_site_fract_y
_atom_site_fract_z
_atom_site_occupancy
K1 0.0000 0.0000 0.0000 1
Ta1 0.0000 0.0000 0.5000 1
Ta2 0.2500 0.2500 0.2500 1
O1 0.0000 0.2500 0.1880 1
O2 0.0000 0.2500 0.5589 1
O3 0.1866 0.0665 0.3766 1
```

Principal peaks in the range 2θ = 10–80°, in order of rising 2θ:
Position (°2θ)	I/Imax
14.35	100
27.63	32
27.81	16
28.94	85
33.43	20
48.25	24
50.47	11
56.98	13
57.09	13
57.47	12

Copy entry 3 word for word.
Diffraction record for K2Ta4O11. The PXRD pattern is computed, not measured: it uses DFT lattice parameters and positions (GGA-PBE) and Cu Kα (weighted mean of Kα1 and Kα2).
Peak positions follow from Bragg's law for the DFT cell and can differ from measured ones.

Cell and atoms:
```
data_K2Ta4O11
_chemical_formula_sum 'K12 Ta24 O66'
_symmetry_space_group_name_H-M 'R -3 c'
_symmetry_Int_Tables_number 167
_symmetry_space_group_name_Hall '-R 3 2"c'
_cell_length_a 6.3450
_cell_length_b 6.3450
_cell_length_c 37.3724
_cell_angle_alpha 90.00
_cell_angle_beta 90.00
_cell_angle_gamma 120.00
loop_
_atom_site_label
_atom_site_fract_x
_atom_site_fract_y
_atom_site_fract_z
_atom_site_occupancy
K1 0.0000 0.0000 0.1741 1
Ta1 0.0000 0.0000 0.0000 1
Ta2 0.0000 0.3655 0.2500 1
O1 0.0000 0.0000 0.0936 1
O2 0.0000 0.2456 0.7500 1
O3 0.0369 0.2701 0.5317 1
```

Principal peaks in the range 2θ = 10–80°, in order of rising 2θ:
Position (°2θ)	I/Imax
14.22	46
16.82	44
28.66	53
29.04	100
31.65	95
35.61	36
46.34	25
49.78	36
52.69	26
58.46	38